Entry 1:
This entry pairs a crystal structure of La3PrPb2 with its computed PXRD pattern. Radiation: Cu Kα X-rays. Structure: the GGA-PBE geometry in Alexandria.

```
6
Lattice="2.536 -8.457 0.000 2.536 8.457 0.000 0.000 0.000 4.595" Properties=species:S:1:pos:R:3 pbc="T T T"
La 0.000 0.000 0.000
La 2.536 3.083 0.000
La 2.536 -3.083 0.000
Pr 2.536 0.000 2.297
Pb 2.536 5.957 2.297
Pb 2.536 -5.957 2.297
```

Principal peaks in the range 10 to 90 degrees two-theta, by angle:
d [Å]  I (rel.)
3.112  6.3
2.915  100.0
2.818  21.6
2.536  18.6
2.297  14.0
1.886  11.2
1.781  11.3
1.703  11.3
1.645  9.2
1.528  14.6
1.458  9.7
1.419  11.4

=====

Entry 2:
This entry pairs a crystal structure of LaPr5Pb4 with its computed PXRD pattern. Radiation: Cu Kα X-rays. Structure: the GGA-PBE geometry in Alexandria.

```
10
Lattice="8.470 -2.820 0.000 8.470 2.820 0.000 -0.027 0.000 7.434" Properties=species:S:1:pos:R:3 pbc="T T T"
La 0.000 0.000 0.000
Pr -0.014 0.000 3.717
Pr 5.648 0.000 0.059
Pr 5.637 0.000 3.641
Pr 11.275 0.000 3.793
Pr 11.264 0.000 7.375
Pb 2.967 0.000 5.569
Pb 8.295 0.000 5.558
Pb 8.617 0.000 1.876
Pb 13.944 0.000 1.865
```

Principal peaks in the range 10 to 90 degrees two-theta, by angle:
d [Å]  I (rel.)
5.588  9.9
4.343  15.3
3.679  10.5
2.822  54.6
2.720  100.0
1.995  19.8
1.858  8.3
1.612  9.3
1.608  30.0
1.551  13.6
1.411  6.1
1.262  8.2

=====

Entry 3:
This entry pairs a crystal structure of LaPr4Pb4 with its computed PXRD pattern. Radiation: Cu Kα X-rays. Structure: the GGA-PBE geometry in Alexandria.

```
9
Lattice="-5.123 5.123 3.239 5.123 -5.123 3.239 5.123 5.123 -3.239" Properties=species:S:1:pos:R:3 pbc="T T T"
La 0.000 0.000 0.000
Pr 6.150 2.053 0.000
Pr 2.053 4.096 0.000
Pr 3.071 1.027 3.239
Pr -1.027 3.071 3.239
Pb 3.071 1.034 0.000
Pb 4.089 -2.053 3.239
Pb 1.034 7.176 0.000
Pb 2.053 4.089 3.239
```

Principal peaks in the range 10 to 90 degrees two-theta, by angle:
d [Å]  I (rel.)
7.245  7.6
5.476  7.6
5.123  3.9
3.741  4.2
3.240  100.0
2.602  2.6
2.291  78.9
1.871  28.7
1.620  13.6
1.449  37.7
1.323  27.8
1.145  9.1

=====

Entry 4:
This entry pairs a crystal structure of LaPr3Pb2S with its computed PXRD pattern. Radiation: Cu Kα X-rays. Structure: the GGA-PBE geometry in Alexandria.

```
7
Lattice="-2.673 2.680 8.416 2.673 -2.680 8.416 2.673 2.680 -8.416" Properties=species:S:1:pos:R:3 pbc="T T T"
La 0.000 0.000 0.000
Pr 2.673 0.000 5.550
Pr 0.000 0.000 8.416
Pr 0.000 2.680 2.866
Pb 2.673 0.000 2.296
Pb 0.000 2.680 6.120
S 0.000 2.680 0.000
```

Principal peaks in the range 10 to 90 degrees two-theta, by angle:
d [Å]  I (rel.)
3.785  37.2
3.452  61.9
2.850  25.0
2.814  100.0
2.805  25.3
2.677  77.1
1.951  16.8
1.937  34.6
1.893  28.1
1.572  17.9
1.569  35.3
1.289  14.0

=====

Entry 5:
This entry pairs a crystal structure of La3PtPb with its computed PXRD pattern. Radiation: Cu Kα X-rays. Structure: the GGA-PBE geometry in Alexandria.

```
20
Lattice="8.502 0.000 0.000 0.000 4.839 0.000 0.000 0.000 15.465" Properties=species:S:1:pos:R:3 pbc="T T T"
La 0.203 1.210 1.601
La 1.177 1.210 7.922
La 1.538 3.629 4.334
La 2.713 1.210 12.066
La 3.074 3.629 0.190
La 4.048 3.629 9.334
La 4.454 1.210 6.131
La 5.428 1.210 15.275
La 5.789 3.629 3.398
La 6.964 1.210 11.131
La 7.325 3.629 7.543
La 8.299 3.629 13.863
Pt 1.537 1.210 14.563
Pt 2.714 3.629 6.830
Pt 5.788 1.210 8.634
Pt 6.965 3.629 0.902
Pb 0.785 3.629 10.479
Pb 3.466 1.210 2.747
Pb 5.036 3.629 12.718
Pb 7.717 1.210 4.985
```

Principal peaks in the range 10 to 90 degrees two-theta, by angle:
d [Å]  I (rel.)
4.058  21.8
3.259  25.8
3.128  43.9
2.952  100.0
2.907  38.2
2.606  35.5
2.420  43.7
2.210  17.6
1.956  18.0
1.860  23.7
1.524  20.6
1.481  21.8

=====

Entry 6:
This entry pairs a crystal structure of LaPt10Pb with its computed PXRD pattern. Radiation: Cu Kα X-rays. Structure: the GGA-PBE geometry in Alexandria.

```
12
Lattice="4.431 0.000 0.000 0.000 5.464 0.000 0.000 0.000 9.389" Properties=species:S:1:pos:R:3 pbc="T T T"
La 0.000 0.000 0.000
Pt 0.000 0.000 3.157
Pt 0.000 0.000 6.232
Pt 0.000 2.732 1.601
Pt 0.000 2.732 7.788
Pt 2.216 0.000 4.695
Pt 2.216 1.351 2.315
Pt 2.216 1.351 7.074
Pt 2.216 2.732 0.000
Pt 2.216 4.113 2.315
Pt 2.216 4.113 7.074
Pb 0.000 2.732 4.695
```

Principal peaks in the range 10 to 90 degrees two-theta, by angle:
d [Å]  I (rel.)
4.723  24.8
3.229  19.3
2.361  29.0
2.326  50.6
2.316  100.0
2.216  50.5
2.084  47.2
2.074  22.7
1.616  18.3
1.483  25.1
1.358  21.3
1.158  26.2

=====

Entry 7:
This entry pairs a crystal structure of LaPt8Pb3 with its computed PXRD pattern. Radiation: Cu Kα X-rays. Structure: the GGA-PBE geometry in Alexandria.

```
12
Lattice="2.752 1.589 9.016 -2.752 1.589 9.016 0.000 -3.178 9.016" Properties=species:S:1:pos:R:3 pbc="T T T"
La 0.000 0.000 0.000
Pt -1.386 -0.800 10.655
Pt 0.000 -1.594 6.209
Pt -1.380 0.797 6.209
Pt 0.000 0.000 8.436
Pt 1.386 -0.800 10.655
Pt 0.000 1.600 10.655
Pt 1.380 0.797 6.209
Pt 0.000 0.000 21.956
Pb 0.000 0.000 3.464
Pb 0.000 0.000 13.365
Pb 0.000 0.000 16.699
```

Principal peaks in the range 10 to 90 degrees two-theta, by angle:
d [Å]  I (rel.)
4.499  6.4
2.755  25.7
2.350  100.0
2.254  10.8
2.248  30.8
1.590  7.5
1.501  7.9
1.499  24.7
1.379  13.8
1.376  14.9
1.188  8.7
1.174  12.4

=====

Entry 8:
This entry pairs a crystal structure of LaSbPtPb2 with its computed PXRD pattern. Radiation: Cu Kα X-rays. Structure: the GGA-PBE geometry in Alexandria.

```
5
Lattice="5.856 0.000 0.000 0.000 5.856 0.000 0.000 0.000 4.876" Properties=species:S:1:pos:R:3 pbc="T T T"
La 0.000 0.000 0.000
Sb 2.928 2.928 2.438
Pt 2.928 2.928 0.000
Pb 0.000 2.928 2.438
Pb 2.928 0.000 2.438
```

Principal peaks in the range 10 to 90 degrees two-theta, by angle:
d [Å]  I (rel.)
5.856  17.8
3.156  100.0
2.928  80.2
2.438  24.4
2.070  30.4
1.874  44.9
1.731  36.6
1.578  25.9
1.309  14.0
1.255  12.3
1.222  12.0
1.154  19.3

=====

Entry 9:
This entry pairs a crystal structure of La3Si2Pt9Pb with its computed PXRD pattern. Radiation: Cu Kα X-rays. Structure: the GGA-PBE geometry in Alexandria.

```
15
Lattice="7.486 0.000 0.000 -3.743 6.483 0.000 0.000 0.000 6.805" Properties=species:S:1:pos:R:3 pbc="T T T"
La 0.000 0.000 0.000
La 0.000 4.322 4.459
La 3.743 2.161 2.345
Si 0.000 4.322 0.868
Si 3.743 2.161 5.936
Pt -1.871 3.241 0.000
Pt 0.000 2.357 2.129
Pt -1.702 5.304 2.129
Pt 2.041 1.178 4.676
Pt 3.743 0.000 0.000
Pt 1.871 3.241 0.000
Pt 1.702 5.304 2.129
Pt 5.445 1.178 4.676
Pt 3.743 4.126 4.676
Pb 0.000 0.000 3.402
```

Principal peaks in the range 10 to 90 degrees two-theta, by angle:
d [Å]  I (rel.)
4.694  18.4
2.926  100.0
2.347  88.7
2.305  8.3
2.268  15.7
1.871  42.6
1.577  14.1
1.506  19.4
1.463  18.5
1.444  20.1
1.206  10.0
1.153  16.3

=====

Entry 10:
This entry pairs a crystal structure of La2Sn3Pt4Pb with its computed PXRD pattern. Radiation: Cu Kα X-rays. Structure: the GGA-PBE geometry in Alexandria.

```
10
Lattice="4.682 0.000 0.000 0.000 4.682 0.000 0.000 0.000 10.775" Properties=species:S:1:pos:R:3 pbc="T T T"
La 0.000 2.341 2.534
La 2.341 0.000 8.241
Sn 0.000 2.341 9.444
Sn 2.341 0.000 1.331
Sn 2.341 2.341 5.388
Pt 0.000 0.000 0.000
Pt 0.000 2.341 6.852
Pt 2.341 0.000 3.923
Pt 2.341 2.341 0.000
Pb 0.000 0.000 5.388
```

Principal peaks in the range 10 to 90 degrees two-theta, by angle:
d [Å]  I (rel.)
5.388  17.1
2.850  41.9
2.821  100.0
2.341  73.7
2.090  47.2
1.958  19.9
1.809  22.6
1.655  27.8
1.502  16.8
1.428  25.7
1.298  21.1
1.167  14.5

=====

Entry 11:
This entry pairs a crystal structure of LaPu4Pb5 with its computed PXRD pattern. Radiation: Cu Kα X-rays. Structure: the GGA-PBE geometry in Alexandria.

```
10
Lattice="4.170 0.000 0.000 0.000 4.170 0.000 0.000 0.000 16.602" Properties=species:S:1:pos:R:3 pbc="T T T"
La 0.000 0.000 0.000
Pu 0.000 0.000 3.436
Pu 0.000 0.000 6.675
Pu 0.000 0.000 9.927
Pu 0.000 0.000 13.166
Pb 2.085 2.085 1.771
Pb 2.085 2.085 5.026
Pb 2.085 2.085 8.301
Pb 2.085 2.085 11.576
Pb 2.085 2.085 14.831
```

Principal peaks in the range 10 to 90 degrees two-theta, by angle:
d [Å]  I (rel.)
2.949  71.4
2.598  100.0
2.085  27.4
1.660  6.2
1.626  49.9
1.474  9.3
1.447  16.0
1.319  12.9
1.299  11.3
1.282  11.7
1.102  7.2
1.092  15.0

=====

Entry 12:
This entry pairs a crystal structure of LaPuPb3 with its computed PXRD pattern. Radiation: Cu Kα X-rays. Structure: the GGA-PBE geometry in Alexandria.

```
10
Lattice="3.882 -6.717 0.000 3.882 6.717 0.000 0.000 0.000 6.195" Properties=species:S:1:pos:R:3 pbc="T T T"
La 3.882 4.483 4.647
La 3.882 -4.483 1.549
Pu 3.882 0.000 0.000
Pu 3.882 0.000 3.098
Pb 1.540 1.349 4.647
Pb 1.540 -1.349 1.549
Pb 3.882 2.702 1.549
Pb 3.882 -2.702 4.647
Pb 6.224 1.349 4.647
Pb 6.224 -1.349 1.549
```

Principal peaks in the range 10 to 90 degrees two-theta, by angle:
d [Å]  I (rel.)
4.555  21.7
3.880  20.7
3.098  16.8
2.954  100.0
2.813  34.9
2.540  55.8
2.278  53.0
2.107  26.0
1.940  24.1
1.759  22.7
1.597  21.1
1.380  22.5